# NdFe10W2
Simulated powder X-ray diffraction pattern, Cu Kα, 1.54184 Å. Input: a cell relaxed with PBE.
No peak broadening, texture or thermal motion is included.

Top 10 peaks for 5 to 70 degrees two-theta, in order of falling intensity:
| 2theta | intensity | h k l |
| --- | --- | --- |
| 42.03 | 100.0 | 1 2 3 |
| 21.54 | 71.0 | 1 1 0 |
| 43.90 | 63.0 | 2 2 0 |
| 36.60 | 59.2 | 1 3 0 |
| 36.25 | 54.8 | 1 0 3 |
| 41.81 | 49.6 | 0 4 0 |
| 32.38 | 38.4 | 0 1 3 |
| 38.35 | 34.4 | 2 0 0 |
| 48.81 | 30.1 | 2 2 2 |
| 14.40 | 29.1 | 0 1 1 |

Atomic structure:
Cell lengths 4.694, 8.641, 8.754 Å; angles 90.00, 90.00, 90.00 degrees
Space group Immm (No. 71)
Asymmetric unit:
Nd: 0.000 0.000 0.000 x2
Fe: 0.000 0.274 0.500 x4
Fe: 0.000 0.360 0.000 x4
Fe: 0.000 0.500 0.270 x4
Fe: 0.250 0.250 0.250 x8
W: 0.000 0.000 0.356 x4